Record 1
Computed powder XRD pattern of Ac2SnBi3 for CuKα, from the PBE geometry in Alexandria.
Peak positions follow from Bragg's law for the DFT cell and can differ from measured ones.

Largest 8 diffraction maxima, in order of rising 2θ, 15 to 90 degrees two-theta:
d_spacing	Position (°2θ)	I/Imax
3.419	26.1	51
3.394	26.3	100
2.440	36.8	21
2.409	37.3	81
1.986	45.7	23
1.943	46.7	22
1.527	60.7	21
1.520	61.0	20

Structure:
a b c (Å): 4.7242 6.8374 14.6384
angles (deg): 90.00 90.00 90.00
Space group Immm (No. 71)
Inequivalent atoms, fractional coordinates:
Ac 0.0000 0.0000 0.1657
Sn 0.0000 0.0000 0.5000
Bi 0.0000 0.5000 0.1624
Bi 0.0000 0.5000 0.5000

---

Record 2
Computed powder XRD pattern of ErNp2Sn9 for CuKα, from the PBE geometry in Alexandria.
Peak positions follow from Bragg's law for the DFT cell and can differ from measured ones.

Largest 8 diffraction maxima, in order of rising 2θ, 15 to 90 degrees two-theta:
d_spacing	Position (°2θ)	I/Imax
2.692	33.3	100
2.334	38.6	34
2.326	38.7	17
1.651	55.7	12
1.648	55.8	24
1.407	66.4	29
1.404	66.6	14
1.346	69.9	12

Structure:
a b c (Å): 4.6684 4.6684 13.9582
angles (deg): 90.00 90.00 90.00
Space group P4/mmm (No. 123)
Inequivalent atoms, fractional coordinates:
Er 0.0000 0.0000 0.0000
Np 0.0000 0.0000 0.3355
Sn 0.0000 0.5000 0.1679
Sn 0.0000 0.5000 0.5000
Sn 0.5000 0.5000 0.0000
Sn 0.5000 0.5000 0.3335

---

Record 3
Computed powder XRD pattern of BaHg4W for CuKα, from the PBE geometry in Alexandria.
Peak positions follow from Bragg's law for the DFT cell and can differ from measured ones.

Largest 8 diffraction maxima, in order of rising 2θ, 15 to 90 degrees two-theta:
d_spacing	Position (°2θ)	I/Imax
4.943	17.9	14
3.027	29.5	19
2.581	34.8	100
2.471	36.4	49
1.648	55.8	35
1.513	61.2	32
1.291	73.4	20
1.115	87.5	24

Structure:
a b c (Å): 8.5614 8.5614 8.5614
angles (deg): 90.00 90.00 90.00
Space group F-43m (No. 216)
Inequivalent atoms, fractional coordinates:
Ba 0.0000 0.0000 0.0000
Hg 0.1242 0.1242 0.6242
W 0.2500 0.2500 0.2500